This entry pairs a crystal structure of MgGa14Hg with its calculated powder diffractogram. Radiation: Cu Kα (λ = 1.5418 Å). Structure: a crystal structure in Alexandria, relaxed with PBE.
Intensities are scaled so that the largest is 100.

Atomic structure:
```
data_MgGa14Hg
_chemical_formula_sum 'Mg2 Ga28 Hg2'
_cell_length_a 10.0261
_cell_length_b 5.9739
_cell_length_c 10.2645
_cell_angle_alpha 90.00
_cell_angle_beta 90.00
_cell_angle_gamma 90.00
_space_group_name_H-M_alt 'A m m 2'
_space_group_IT_number 38
loop_
_space_group_symop_operation_xyz
'x,y,z'
'-x,-y,z'
'-x,y,z'
'x,-y,z'
'x,y+1/2,z+1/2'
'-x,-y+1/2,z+1/2'
'-x,y+1/2,z+1/2'
'x,-y+1/2,z+1/2'
loop_
_atom_site_label
_atom_site_fract_x
_atom_site_fract_y
_atom_site_fract_z
Mg1 0.0000 0.0000 0.0000
Ga1 0.0000 0.2387 0.2552
Ga2 0.2443 0.0000 0.8203
Ga3 0.2553 0.0000 0.3248
Ga4 0.2597 0.2467 0.0753
Ga5 0.5000 0.0000 0.1613
Ga6 0.5000 0.0000 0.6637
Ga7 0.5000 0.2491 0.9084
Hg1 0.0000 0.0000 0.5135
```

The 8 most intense peaks (10 to 90 degrees two-theta), by angle:
d/Å	2θ (°)	I_rel	h k l
4.588	19.34	19	1 1 1
2.504	35.87	92	4 0 0
2.486	36.13	26	1 0 4
2.295	39.25	100	2 2 2
2.284	39.45	32	2 0 4
2.043	44.34	21	3 2 2
1.403	66.67	19	6 2 2
1.277	74.25	21	4 2 6



This entry pairs a crystal structure of Mg6Ga5Hg with its calculated powder diffractogram. Radiation: Cu Kα (λ = 1.5418 Å). Structure: a crystal structure in Alexandria, relaxed with PBE.
Intensities are scaled so that the largest is 100.

Atomic structure:
```
data_Mg6Ga5Hg
_chemical_formula_sum 'Mg12 Ga10 Hg2'
_cell_length_a 4.8356
_cell_length_b 14.7526
_cell_length_c 6.6457
_cell_angle_alpha 90.00
_cell_angle_beta 90.00
_cell_angle_gamma 90.00
_space_group_name_H-M_alt 'C m m m'
_space_group_IT_number 65
_space_group_name_Hall '-C 2 2'
loop_
_atom_site_label
_atom_site_fract_x
_atom_site_fract_y
_atom_site_fract_z
Mg1 0.0000 0.0000 0.2474
Mg2 0.0000 0.3333 0.2465
Ga1 0.0000 0.1683 0.0000
Ga2 0.0000 0.1717 0.5000
Ga3 0.0000 0.5000 0.0000
Hg1 0.0000 0.5000 0.5000
```

The 8 most intense peaks (10 to 90 degrees two-theta), by angle:
d/Å	2θ (°)	I_rel	h k l
3.448	25.84	43	1 3 0
3.323	26.83	20	0 0 2
2.459	36.55	27	0 6 0
2.418	37.19	26	2 0 0
2.393	37.59	100	1 3 2
1.724	53.13	18	2 6 0
1.406	66.48	18	1 9 2
1.391	67.31	17	3 3 2



This entry pairs a crystal structure of MgGa3Hg3 with its calculated powder diffractogram. Radiation: Cu Kα (λ = 1.5418 Å). Structure: a crystal structure in Alexandria, relaxed with PBE.
Intensities are scaled so that the largest is 100.

Atomic structure:
```
data_MgGa3Hg3
_chemical_formula_sum 'Mg2 Ga6 Hg6'
_cell_length_a 7.5900
_cell_length_b 7.5900
_cell_length_c 7.5900
_cell_angle_alpha 90.00
_cell_angle_beta 90.00
_cell_angle_gamma 90.00
_space_group_name_H-M_alt 'P m -3 n'
_space_group_IT_number 223
_space_group_name_Hall '-P 4n 2 3'
loop_
_atom_site_label
_atom_site_fract_x
_atom_site_fract_y
_atom_site_fract_z
Mg1 0.0000 0.0000 0.0000
Ga1 0.0000 0.2500 0.5000
Hg1 0.0000 0.5000 0.2500
```

The 8 most intense peaks (10 to 90 degrees two-theta), by angle:
d/Å	2θ (°)	I_rel	h k l
5.367	16.52	100	1 1 0
3.795	23.44	33	2 0 0
3.394	26.25	71	2 1 0
3.099	28.81	80	2 1 1
2.191	41.20	73	2 2 2
2.029	44.67	49	3 2 1
1.898	47.94	40	4 0 0
1.144	84.71	28	6 2 2



This entry pairs a crystal structure of Mg8Ga3Hg2 with its calculated powder diffractogram. Radiation: Cu Kα (λ = 1.5418 Å). Structure: a crystal structure in Alexandria, relaxed with PBE.
Intensities are scaled so that the largest is 100.

Atomic structure:
```
data_Mg8Ga3Hg2
_chemical_formula_sum 'Mg16 Ga6 Hg4'
_cell_length_a 9.3060
_cell_length_b 13.4717
_cell_length_c 4.6940
_cell_angle_alpha 90.00
_cell_angle_beta 90.00
_cell_angle_gamma 90.00
_space_group_name_H-M_alt 'C m m m'
_space_group_IT_number 65
_space_group_name_Hall '-C 2 2'
loop_
_atom_site_label
_atom_site_fract_x
_atom_site_fract_y
_atom_site_fract_z
Mg1 0.0000 0.1215 0.0000
Mg2 0.0000 0.3688 0.0000
Mg3 0.2442 0.1238 0.5000
Ga1 0.0000 0.5000 0.5000
Ga2 0.2484 0.5000 0.0000
Hg1 0.0000 0.2473 0.5000
```

The 8 most intense peaks (10 to 90 degrees two-theta), by angle:
d/Å	2θ (°)	I_rel	h k l
4.694	18.91	22	0 0 1
4.653	19.07	22	2 0 0
3.851	23.09	58	0 2 1
3.828	23.23	59	2 2 0
3.305	26.98	31	2 0 1
2.359	38.15	100	2 4 1
2.347	38.35	25	0 0 2
2.327	38.70	24	4 0 0



This entry pairs a crystal structure of Mg5GaHg with its calculated powder diffractogram. Radiation: Cu Kα (λ = 1.5418 Å). Structure: a crystal structure in Alexandria, relaxed with PBE.
Intensities are scaled so that the largest is 100.

Atomic structure:
```
data_Mg5GaHg
_chemical_formula_sum 'Mg20 Ga4 Hg4'
_cell_length_a 6.5370
_cell_length_b 6.5358
_cell_length_c 14.5077
_cell_angle_alpha 90.00
_cell_angle_beta 90.00
_cell_angle_gamma 90.00
_space_group_name_H-M_alt 'C m c m'
_space_group_IT_number 63
_space_group_name_Hall '-C 2c 2'
loop_
_atom_site_label
_atom_site_fract_x
_atom_site_fract_y
_atom_site_fract_z
Mg1 0.0000 0.0018 0.2500
Mg2 0.2489 0.2527 0.1132
Ga1 0.0000 0.4970 0.7500
Hg1 0.0000 0.0000 0.0000
```

The 8 most intense peaks (10 to 90 degrees two-theta), by angle:
d/Å	2θ (°)	I_rel	h k l
7.254	12.20	21	0 0 2
4.622	19.20	28	1 1 0
3.898	22.81	100	1 1 2
2.428	37.03	76	2 0 4
2.311	38.97	34	2 2 0
2.142	42.18	21	1 1 6
1.988	45.64	33	3 1 2
1.356	69.32	24	4 2 4



This entry pairs a crystal structure of Mg3Ga3Hg with its calculated powder diffractogram. Radiation: Cu Kα (λ = 1.5418 Å). Structure: a crystal structure in Alexandria, relaxed with PBE.
Intensities are scaled so that the largest is 100.

Atomic structure:
```
data_Mg3Ga3Hg
_chemical_formula_sum 'Mg6 Ga6 Hg2'
_cell_length_a 8.0518
_cell_length_b 8.0518
_cell_length_c 4.9858
_cell_angle_alpha 90.00
_cell_angle_beta 90.00
_cell_angle_gamma 120.00
_space_group_name_H-M_alt 'P 63/m'
_space_group_IT_number 176
_space_group_name_Hall '-P 6c'
loop_
_atom_site_label
_atom_site_fract_x
_atom_site_fract_y
_atom_site_fract_z
Mg1 0.0913 0.4562 0.2500
Ga1 0.0388 0.2228 0.7500
Hg1 0.3333 0.6667 0.7500
```

The 8 most intense peaks (10 to 90 degrees two-theta), by angle:
d/Å	2θ (°)	I_rel	h k l
4.056	21.92	53	1 0 1
4.026	22.08	26	1 1 0
2.636	34.02	28	2 1 0
2.493	36.03	25	0 0 2
2.330	38.65	100	2 1 1
1.522	60.86	24	1 4 0
1.406	66.51	19	2 1 3
1.299	72.82	21	1 4 2



> Which formula does entry 3 have?

MgGa3Hg3